Diffraction record for Zn2SbWO6. The XRD peak list is theoretical, not measured: it uses the PBE+U geometry in the Materials Project and λ = 1.5418 Å (Cu Kα).
Kinematic intensities with the Lorentz-polarization factor, no thermal factor.

Most intense lines, 10° ≤ 2θ ≤ 90°, most intense first:
| d/Å | I (rel.) | (hkl) |
| --- | --- | --- |
| 2.833 | 100 | 1 1 1 |
| 2.788 | 97 | 1 1 -3 |
| 2.733 | 91 | 0 2 0 |
| 1.933 | 39 | 2 2 -2 |
| 3.865 | 33 | 1 1 -1 |
| 2.046 | 24 | 0 0 4 |

Cell lengths 5.471, 5.463, 9.743 Å; angles 90.00, 122.85, 90.00 degrees
Space group P2_1/c (No. 14)
Unique sites:
Zn1 0.224 0.018 0.246
Sb1 0.000 0.000 0.500
W1 0.500 0.000 0.000
O1 0.150 0.118 0.772
O2 0.244 0.645 0.564
O3 0.446 0.183 0.583



Diffraction record for MgV12Zn6O24. The XRD peak list is theoretical, not measured: it uses the PBE+U geometry in the Materials Project and λ = 1.5418 Å (Cu Kα).
Kinematic intensities with the Lorentz-polarization factor, no thermal factor.

Most intense lines, 10° ≤ 2θ ≤ 90°, most intense first:
| d/Å | I (rel.) | (hkl) |
| --- | --- | --- |
| 2.611 | 100 | 2 0 -1 |
| 2.669 | 94 | 0 1 -5 |
| 2.620 | 82 | 0 2 -1 |
| 2.641 | 56 | -1 1 3 |
| 3.040 | 51 | 2 1 0 |
| 1.538 | 43 | 2 -2 0 |

Cell lengths 6.072, 6.088, 15.438 Å; angles 89.78, 89.67, 60.80 degrees
Space group P1 (No. 1)
Unique sites:
Mg1 0.000 0.000 0.000
V1 0.150 0.661 0.202
V2 0.308 0.316 0.526
V3 0.309 0.813 0.526
V4 0.464 0.968 0.849
V5 0.473 0.482 0.365
V6 0.647 0.657 0.207
V7 0.651 0.160 0.202
V8 0.752 0.760 0.026
V9 0.804 0.810 0.645
V10 0.806 0.313 0.527
V11 0.961 0.968 0.836
V12 0.962 0.470 0.849
Zn1 0.144 0.153 0.330
Zn2 0.147 0.153 0.690
Zn3 0.164 0.175 0.142
Zn4 0.446 0.450 0.940
Zn5 0.474 0.481 0.729
Zn6 0.810 0.817 0.405
O1 0.084 0.663 0.938
O2 0.133 0.139 0.917
O3 0.142 0.149 0.458
O4 0.171 0.641 0.447
O5 0.299 0.836 0.768
O6 0.300 0.307 0.781
O7 0.319 0.331 0.278
O8 0.326 0.794 0.283
O9 0.458 0.984 0.599
O10 0.471 0.480 0.596
O11 0.482 0.490 0.139
O12 0.517 0.971 0.130
O13 0.619 0.180 0.447
O14 0.630 0.636 0.923
O15 0.635 0.628 0.450
O16 0.659 0.089 0.938
O17 0.784 0.335 0.283
O18 0.790 0.796 0.771
O19 0.819 0.830 0.274
O20 0.829 0.306 0.768
O21 0.962 0.527 0.130
O22 0.972 0.989 0.597
O23 0.981 0.990 0.125
O24 0.988 0.463 0.599



Diffraction record for SrNdCrSnO6. The XRD peak list is theoretical, not measured: it uses the PBE+U geometry in the Materials Project and λ = 1.5418 Å (Cu Kα).
Kinematic intensities with the Lorentz-polarization factor, no thermal factor.

Most intense lines, 10° ≤ 2θ ≤ 90°, most intense first:
| d/Å | I (rel.) | (hkl) |
| --- | --- | --- |
| 2.831 | 100 | 2 2 0 |
| 1.634 | 40 | 4 2 2 |
| 2.002 | 33 | 4 0 0 |
| 1.415 | 20 | 4 4 0 |
| 1.266 | 17 | 6 2 0 |
| 4.623 | 11 | 1 1 1 |

Cell lengths 8.007, 8.007, 8.007 Å; angles 90.00, 90.00, 90.00 degrees
Space group F-43m (No. 216)
Unique sites:
Sr1 0.000 0.000 0.000
Nd1 0.000 0.000 0.500
Cr1 0.250 0.250 0.250
Sn1 0.250 0.250 0.750
O1 0.003 0.250 0.250



Diffraction record for Na4FeO3. The XRD peak list is theoretical, not measured: it uses the PBE+U geometry in the Materials Project and λ = 1.5418 Å (Cu Kα).
Kinematic intensities with the Lorentz-polarization factor, no thermal factor.

Most intense lines, 10° ≤ 2θ ≤ 90°, most intense first:
| d/Å | I (rel.) | (hkl) |
| --- | --- | --- |
| 2.558 | 100 | 2 2 -1 |
| 2.483 | 98 | 1 1 -3 |
| 2.440 | 91 | 3 1 1 |
| 3.901 | 60 | 2 0 -2 |
| 1.657 | 44 | 1 3 2 |
| 5.034 | 43 | 2 0 0 |

Cell lengths 11.010, 5.837, 8.353 Å; angles 90.00, 114.19, 90.00 degrees
Space group Cc (No. 9)
Unique sites:
Na1 0.000 0.159 0.000
Na2 0.081 0.295 0.684
Na3 0.181 0.159 0.404
Na4 0.277 0.334 0.086
Fe1 0.408 0.148 0.789
O1 0.071 0.499 0.923
O2 0.240 0.011 0.693
O3 0.451 0.444 0.741



Diffraction record for Na5Ni9O16. The XRD peak list is theoretical, not measured: it uses the PBE+U geometry in the Materials Project and λ = 1.5418 Å (Cu Kα).
Kinematic intensities with the Lorentz-polarization factor, no thermal factor.

Most intense lines, 10° ≤ 2θ ≤ 90°, most intense first:
| d/Å | I (rel.) | (hkl) |
| --- | --- | --- |
| 5.173 | 100 | 0 0 1 |
| 2.113 | 87 | 1 4 1 |
| 2.164 | 48 | 2 0 -2 |
| 1.543 | 37 | 1 4 -3 |
| 2.408 | 31 | 1 4 -1 |
| 1.482 | 25 | 3 4 -1 |

Cell lengths 5.173, 11.592, 5.473 Å; angles 90.00, 109.06, 90.00 degrees
Space group P2/m (No. 10)
Unique sites:
Na1 0.000 0.000 0.000
Na2 0.000 0.256 0.000
Na3 0.500 0.136 0.000
Ni1 0.000 0.126 0.500
Ni2 0.000 0.379 0.500
Ni3 0.000 0.500 0.000
Ni4 0.500 0.000 0.500
Ni5 0.500 0.252 0.500
Ni6 0.500 0.500 0.500
O1 0.201 0.500 0.708
O2 0.209 0.254 0.691
O3 0.220 0.000 0.699
O4 0.241 0.386 0.301
O5 0.268 0.121 0.301